For Yb4Al, a GGA-PBE-relaxed structure gives the computed XRD peak list in this record (Cu Kα).
Peak positions follow from Bragg's law for the DFT cell and can differ from measured ones.

Cell and atoms:
a b c (Å): 11.6394 11.6394 11.6394
angles (deg): 90.00 90.00 90.00
Space group Fd-3m (No. 227, origin choice 2)
Inequivalent atoms, fractional coordinates:
Yb 0.0169 0.0169 0.2331 x32
Al 0.1250 0.1250 0.6250 x8

Top 10 peaks for 2θ from 10° to 90°, by angle:
- 26.53 deg, I = 100, hkl 2 2 2
- 30.73 deg, I = 45, hkl 4 0 0
- 33.56 deg, I = 14, hkl 3 3 1
- 40.26 deg, I = 22, hkl 3 3 3
- 44.01 deg, I = 34, hkl 4 4 0
- 52.12 deg, I = 32, hkl 6 2 2
- 56.46 deg, I = 13, hkl 5 5 1
- 61.16 deg, I = 11, hkl 7 3 1
- 65.66 deg, I = 9, hkl 7 3 3
- 86.49 deg, I = 13, hkl 7 7 3

---

For LiGa2Cu3, a GGA-PBE-relaxed structure gives the computed XRD peak list in this record (Cu Kα).
Peak positions follow from Bragg's law for the DFT cell and can differ from measured ones.

Cell and atoms:
```
data_LiGa2Cu3
_chemical_formula_sum 'Li2 Ga4 Cu6'
_symmetry_space_group_name_H-M 'P -1'
_symmetry_Int_Tables_number 2
_cell_length_a 3.9600
_cell_length_b 5.3630
_cell_length_c 8.1747
_cell_angle_alpha 100.03
_cell_angle_beta 103.67
_cell_angle_gamma 90.10
loop_
_symmetry_equiv_pos_as_xyz
'x,y,z'
'-x,-y,-z'
loop_
_atom_site_label
_atom_site_fract_x
_atom_site_fract_y
_atom_site_fract_z
_atom_site_occupancy
Li1 0.1442 0.2209 0.2894 1
Ga1 0.2224 0.8109 0.4468 1
Ga2 0.4714 0.7346 0.9445 1
Cu1 0.0696 0.6348 0.1399 1
Cu2 0.3195 0.4935 0.6369 1
Cu3 0.3713 0.0728 0.7429 1
```

Top 10 peaks for 2θ from 10° to 90°, by angle:
- 18.52 deg, I = 50, hkl 0 1 -1
- 23.17 deg, I = 41, hkl 1 0 -1
- 28.14 deg, I = 69, hkl 1 1 -1
- 42.14 deg, I = 100, hkl 1 -2 1
- 42.28 deg, I = 99, hkl 1 2 -2
- 42.70 deg, I = 84, hkl 1 1 2
- 42.87 deg, I = 83, hkl -1 1 3
- 44.78 deg, I = 38, hkl 0 2 2
- 45.83 deg, I = 85, hkl 2 0 -1
- 46.59 deg, I = 94, hkl 0 1 -4

---

For Pr4Ag2Sb, a GGA-PBE-relaxed structure gives the computed XRD peak list in this record (Cu Kα).
Peak positions follow from Bragg's law for the DFT cell and can differ from measured ones.

Cell and atoms:
```
data_Pr4Ag2Sb
_chemical_formula_sum 'Pr12 Ag6 Sb3'
_symmetry_space_group_name_H-M 'R -3 m'
_symmetry_Int_Tables_number 166
_symmetry_space_group_name_Hall '-R 3 2"'
_cell_length_a 5.3355
_cell_length_b 5.3355
_cell_length_c 26.0802
_cell_angle_alpha 90.00
_cell_angle_beta 90.00
_cell_angle_gamma 120.00
loop_
_atom_site_label
_atom_site_fract_x
_atom_site_fract_y
_atom_site_fract_z
_atom_site_occupancy
Pr1 0.0000 0.0000 0.1204 1
Pr2 0.0000 0.0000 0.3717 1
Ag1 0.0000 0.0000 0.2520 1
Sb1 0.0000 0.0000 0.5000 1
```

Top 10 peaks for 2θ from 10° to 90°, by angle:
- 20.40 deg, I = 3, hkl 0 0 6
- 23.60 deg, I = 7, hkl 1 0 4
- 25.76 deg, I = 4, hkl 0 1 5
- 33.62 deg, I = 100, hkl 1 1 0
- 48.28 deg, I = 18, hkl 2 0 8
- 60.09 deg, I = 27, hkl 3 0 0
- 60.20 deg, I = 8, hkl 1 0 16
- 70.61 deg, I = 6, hkl 2 2 0
- 70.74 deg, I = 5, hkl 0 2 16
- 80.58 deg, I = 15, hkl 3 1 8

---

For KCa3Cu4Br12, a GGA-PBE-relaxed structure gives the computed XRD peak list in this record (Cu Kα).
Peak positions follow from Bragg's law for the DFT cell and can differ from measured ones.

Cell and atoms:
```
data_KCa3Cu4Br12
_chemical_formula_sum 'K3 Ca9 Cu12 Br36'
_symmetry_space_group_name_H-M 'R 3 2'
_symmetry_Int_Tables_number 155
_symmetry_space_group_name_Hall 'R 3 2"'
_cell_length_a 14.7777
_cell_length_b 14.7777
_cell_length_c 11.0453
_cell_angle_alpha 90.00
_cell_angle_beta 90.00
_cell_angle_gamma 120.00
loop_
_atom_site_label
_atom_site_fract_x
_atom_site_fract_y
_atom_site_fract_z
_atom_site_occupancy
K1 0.0000 0.0000 0.0000 1
Ca1 0.0000 0.5585 0.0000 1
Cu1 0.0000 0.0000 0.5000 1
Cu2 0.0000 0.4287 0.5000 1
Br1 0.0000 0.5942 0.5000 1
Br2 0.0000 0.8406 0.5000 1
Br3 0.0430 0.2052 0.1858 1
```

Top 10 peaks for 2θ from 10° to 90°, by angle:
- 20.04 deg, I = 58, hkl 2 1 1
- 21.25 deg, I = 76, hkl 2 0 2
- 24.17 deg, I = 100, hkl 0 0 3
- 24.46 deg, I = 41, hkl 1 2 2
- 26.37 deg, I = 63, hkl 1 3 1
- 29.92 deg, I = 86, hkl 3 1 2
- 41.43 deg, I = 34, hkl 1 3 4
- 44.20 deg, I = 33, hkl 5 2 0
- 50.61 deg, I = 30, hkl 7 0 1
- 52.74 deg, I = 35, hkl 0 7 2

---

Question: Which formula does entry 4 have?
Answer: KCa3Cu4Br12